Calculated X-ray powder pattern
Compound: NiH15IO12
Radiation: Cu Kα X-rays
Structure: a DFT-relaxed cell (GGA+U, Alexandria)
Intensities are scaled so that the largest is 100.

Most intense lines, 2θ from 10° to 90°, low angle first:
| d/Å | two_theta | Rel. int. |
| --- | --- | --- |
| 6.834 | 12.95 | 40.1 |
| 4.915 | 18.05 | 82.3 |
| 4.754 | 18.66 | 100.0 |
| 4.633 | 19.16 | 96.3 |
| 4.447 | 19.96 | 72.1 |
| 4.366 | 20.34 | 27.0 |
| 3.417 | 26.08 | 55.8 |
| 3.371 | 26.44 | 67.2 |
| 3.298 | 27.04 | 53.5 |
| 2.662 | 33.67 | 21.9 |
| 2.408 | 37.35 | 21.4 |
| 2.027 | 44.71 | 29.5 |

Atomic structure:
a = 5.169 Å, b = 9.830 Å, c = 10.609 Å
α = 90.00°, β = 116.33°, γ = 90.00°
Space group Pc (No. 7)
Unique sites:
1 Ni 0.000 0.211 0.000 (multiplicity 2)
2 H 0.019 0.418 0.837 (multiplicity 2)
3 H 0.027 0.117 0.245 (multiplicity 2)
4 H 0.051 0.368 0.277 (multiplicity 2)
5 H 0.070 0.275 0.775 (multiplicity 2)
6 H 0.292 0.013 0.491 (multiplicity 2)
7 H 0.318 0.430 0.145 (multiplicity 2)
8 H 0.457 0.296 0.233 (multiplicity 2)
9 H 0.477 0.333 0.938 (multiplicity 2)
10 H 0.510 0.133 0.772 (multiplicity 2)
11 H 0.537 0.382 0.575 (multiplicity 2)
12 H 0.539 0.188 0.414 (multiplicity 2)
13 H 0.541 0.095 0.073 (multiplicity 2)
14 H 0.694 0.000 0.343 (multiplicity 2)
15 H 0.739 0.440 0.002 (multiplicity 2)
16 H 0.992 0.011 0.646 (multiplicity 2)
17 I 0.040 0.284 0.498 (multiplicity 2)
18 O 0.103 0.326 0.863 (multiplicity 2)
19 O 0.123 0.174 0.653 (multiplicity 2)
20 O 0.233 0.172 0.425 (multiplicity 2)
21 O 0.271 0.339 0.170 (multiplicity 2)
22 O 0.330 0.085 0.016 (multiplicity 2)
23 O 0.376 0.399 0.603 (multiplicity 2)
24 O 0.687 0.177 0.377 (multiplicity 2)
25 O 0.689 0.341 0.993 (multiplicity 2)
26 O 0.708 0.099 0.830 (multiplicity 2)
27 O 0.818 0.401 0.543 (multiplicity 2)
28 O 0.929 0.086 0.145 (multiplicity 2)
29 O 0.945 0.402 0.329 (multiplicity 2)